Structure and simulated powder XRD pattern of TaTe4 (a crystal structure in the Materials Project, relaxed with GGA-PBE; λ = 1.5418 Å (Cu Kα)).

The 10 most intense peaks (2θ from 10° to 90°), by angle:
13.4 deg, rel. 85, (1 1 0)
25.6 deg, rel. 20, (0 0 6)
32.0 deg, rel. 36, (2 0 6)
32.8 deg, rel. 100, (3 1 3)
37.4 deg, rel. 34, (2 2 6)
39.9 deg, rel. 26, (3 1 6)
43.2 deg, rel. 32, (4 2 0)
49.9 deg, rel. 30, (3 1 9)
65.5 deg, rel. 16, (6 0 6)
77.0 deg, rel. 12, (5 5 6)

Structural model:
```
TaTe4
1.0
9.374 0.000 0.000
0.000 9.374 0.000
0.000 0.000 20.910
Ta Te
12 48
Cartesian
2.344 2.344 1.438
2.344 2.344 5.513
2.344 2.344 8.688
2.344 2.344 11.893
2.344 2.344 15.968
2.344 2.344 19.143
7.031 7.031 1.766
7.031 7.031 4.942
7.031 7.031 9.017
7.031 7.031 12.221
7.031 7.031 15.397
7.031 7.031 19.472
0.085 1.551 7.017
0.085 3.136 17.472
0.121 1.483 20.840
0.121 3.204 10.385
0.345 1.445 13.927
0.345 3.242 3.473
1.445 0.345 3.473
1.445 4.342 13.927
1.483 0.121 10.385
1.483 4.566 20.840
1.551 0.085 17.472
1.551 4.602 7.017
3.136 0.085 7.017
3.136 4.602 17.472
3.204 0.121 20.840
3.204 4.566 10.385
3.242 0.345 13.927
3.242 4.342 3.473
4.342 1.445 3.473
4.342 3.242 13.927
4.566 1.483 10.385
4.566 3.204 20.840
4.602 1.551 17.472
4.602 3.136 7.017
4.772 6.238 13.893
4.772 7.823 3.438
4.808 6.170 0.070
4.808 7.891 10.525
5.032 6.132 6.982
5.032 7.929 17.437
6.132 5.032 17.437
6.132 9.029 6.982
6.170 4.808 10.525
6.170 9.253 0.070
6.238 4.772 3.438
6.238 9.289 13.893
7.823 4.772 13.893
7.823 9.289 3.438
7.891 4.808 0.070
7.891 9.253 10.525
7.929 5.032 6.982
7.929 9.029 17.437
9.029 6.132 17.437
9.029 7.929 6.982
9.253 6.170 10.525
9.253 7.891 0.070
9.289 6.238 3.438
9.289 7.823 13.893
```